Starting from a DFT-relaxed cell (GGA-PBE, Alexandria), the XRD peak list of LaGaSiRh6 was simulated for copper Kα.
Kinematic intensities with the Lorentz-polarization factor, no thermal factor.

Structure:
```
data_LaGaSiRh6
_symmetry_space_group_name_H-M 'P 1'
_symmetry_Int_Tables_number 1
_cell_length_a 7.894
_cell_length_b 7.894
_cell_length_c 7.894
_cell_angle_alpha 133.86
_cell_angle_beta 109.25
_cell_angle_gamma 88.71
loop_
_symmetry_equiv_pos_as_xyz
'x,y,z'
loop_
_atom_site_label
_atom_site_fract_x
_atom_site_fract_y
_atom_site_fract_z
La1 0.428 0.178 0.250
La2 0.572 0.822 0.750
Ga1 0.000 0.000 0.500
Ga2 0.000 0.500 0.000
Si1 0.000 0.500 0.500
Si2 0.500 0.500 0.000
Rh1 0.120 0.355 0.212
Rh2 0.120 0.908 0.764
Rh3 0.172 0.922 0.250
Rh4 0.325 0.575 0.750
Rh5 0.356 0.092 0.712
Rh6 0.356 0.645 0.264
Rh7 0.644 0.355 0.736
Rh8 0.644 0.908 0.288
Rh9 0.675 0.425 0.250
Rh10 0.828 0.078 0.750
Rh11 0.880 0.092 0.236
Rh12 0.880 0.645 0.788
```

Main lines, by angle (5 to 70 degrees two-theta):
27.7 deg, I = 23
31.5 deg, I = 30
31.7 deg, I = 28
35.0 deg, I = 100
36.3 deg, I = 48
37.4 deg, I = 25
39.4 deg, I = 64
46.2 deg, I = 25
48.0 deg, I = 70
59.8 deg, I = 15